(1)
For Er3ThPb2, the PBE geometry in Alexandria gives the simulated X-ray diffraction stick pattern in this record (Cu Kα (λ = 1.5418 Å)).

Peak list (6 most intense, 2θ = 5–70°, low angle first)
d (Å), Position (°2θ), Rel. int., index
3.035, 29.43, 89, 1 1 1
2.860, 31.28, 43, 0 0 3
2.588, 34.67, 100, 1 1 2
2.294, 39.27, 59, 2 0 0
1.789, 51.04, 51, 2 0 3
1.374, 68.24, 29, 3 1 2

Crystal structure
abc: 4.588 4.588 8.579
angles: 90.00 90.00 90.00
Space group P-4m2 (No. 115)
Symmetry-distinct sites (fractional):
Er1 0.000 0.000 0.000 (multiplicity 1)
Er2 0.000 0.500 0.659 (multiplicity 2)
Th1 0.500 0.500 0.000 (multiplicity 1)
Pb1 0.000 0.500 0.292 (multiplicity 2)



(2)
For DyP2Rh5, the PBE geometry in Alexandria gives the simulated X-ray diffraction stick pattern in this record (Cu Kα (λ = 1.5418 Å)).

Peak list (6 most intense, 2θ = 5–70°, low angle first)
d (Å), Position (°2θ), Rel. int., index
2.747, 32.60, 32, 0 2 2
2.463, 36.48, 100, 1 2 1
2.443, 36.80, 93, 1 0 3
1.944, 46.74, 30, 2 0 0
1.933, 47.02, 42, 0 2 4
1.370, 68.46, 26, 2 2 4

Crystal structure
abc: 3.887 6.766 9.420
angles: 90.00 90.00 90.00
Space group Immm (No. 71)
Symmetry-distinct sites (fractional):
Dy1 0.000 0.000 0.000 (multiplicity 2)
P1 0.000 0.500 0.243 (multiplicity 4)
Rh1 0.000 0.203 0.351 (multiplicity 8)
Rh2 0.000 0.500 0.000 (multiplicity 2)



(3)
For NpIrN, the PBE geometry in Alexandria gives the simulated X-ray diffraction stick pattern in this record (Cu Kα (λ = 1.5418 Å)).

Peak list (6 most intense, 2θ = 5–70°, low angle first)
d (Å), Position (°2θ), Rel. int., index
3.102, 28.78, 13, 1 0 1
2.529, 35.50, 100, 1 0 2
2.406, 37.38, 69, 1 1 0
2.025, 44.76, 25, 1 0 3
1.701, 53.90, 24, 2 0 0
1.411, 66.23, 41, 2 1 2

Crystal structure
abc: 3.402 3.402 7.559
angles: 90.00 90.00 90.00
Space group P4/nmm (No. 129, origin choice 2)
Symmetry-distinct sites (fractional):
Np1 0.250 0.250 0.176 (multiplicity 2)
Ir1 0.250 0.250 0.592 (multiplicity 2)
N1 0.250 0.250 0.871 (multiplicity 2)